Starting from a GGA-PBE-relaxed structure, the powder diffractogram of Ho3HgSe2 was computed for Cu Kα (weighted mean of Kα1 and Kα2).
Lines closer than 0.1° are merged.

Cell and atoms:
a b c (Å): 3.989 5.888 12.839
angles (deg): 90.00 90.00 90.00
Fractional coordinates of all 12 atoms:
Ho: 0.000 0.000 0.000
Ho: 0.000 0.000 0.326
Ho: 0.000 0.000 0.674
Ho: 0.500 0.500 0.174
Ho: 0.500 0.500 0.500
Ho: 0.500 0.500 0.826
Hg: 0.000 0.500 0.000
Hg: 0.500 0.000 0.500
Se: 0.000 0.500 0.335
Se: 0.000 0.500 0.665
Se: 0.500 0.000 0.165
Se: 0.500 0.000 0.835

Main lines, by angle (2θ from 5° to 70°):
two_theta  I (rel.)
30.4  58
30.6  100
42.2  20
43.7  76
45.5  17
52.9  22
55.7  19
63.8  12